Structure and computed powder XRD pattern of Ac5Ir2Ru (the GGA-PBE geometry in Alexandria; λ = 1.5418 Å (Cu Kα)).
Kinematic intensities with the Lorentz-polarization factor, no thermal factor.

Cell and atoms:
```
Ac5Ir2Ru
1.0
2.9501 -6.9227 0.0000
2.9501 6.9227 0.0000
0.0000 0.0000 14.5248
Ac Ir Ru
10 4 2
Direct
0.0515 0.9485 0.6197
0.0515 0.9485 0.8803
0.2587 0.7413 0.2500
0.3272 0.6728 0.5678
0.3272 0.6728 0.9322
0.6728 0.3272 0.0678
0.6728 0.3272 0.4322
0.7413 0.2587 0.7500
0.9485 0.0515 0.1197
0.9485 0.0515 0.3803
0.1484 0.8516 0.0623
0.1484 0.8516 0.4377
0.8516 0.1484 0.5623
0.8516 0.1484 0.9377
0.1990 0.8010 0.7500
0.8010 0.1990 0.2500
```

Most intense lines, 10° ≤ 2θ ≤ 80°, low angle first:
2θ 12.8, rel. 29; 2θ 16.3, rel. 73; 2θ 22.4, rel. 53; 2θ 27.7, rel. 38; 2θ 28.6, rel. 30; 2θ 30.3, rel. 100; 2θ 31.8, rel. 80; 2θ 33.5, rel. 31; 2θ 38.0, rel. 33; 2θ 44.5, rel. 64


Structure and computed powder XRD pattern of AcSi3IrRu (the GGA-PBE geometry in Alexandria; λ = 1.5418 Å (Cu Kα)).
Kinematic intensities with the Lorentz-polarization factor, no thermal factor.

Cell and atoms:
```
AcSi3IrRu
1.0
3.2142 -6.1862 0.0000
3.2142 6.1862 0.0000
0.0000 0.0000 6.1100
Ac Si Ir Ru
2 6 2 2
Direct
0.2354 0.7646 0.7500
0.7646 0.2354 0.2500
0.2152 0.7848 0.2500
0.2890 0.2890 0.0000
0.2890 0.2890 0.5000
0.7110 0.7110 0.0000
0.7110 0.7110 0.5000
0.7848 0.2152 0.7500
0.3960 0.6040 0.2500
0.6040 0.3960 0.7500
0.0380 0.9620 0.2500
0.9620 0.0380 0.7500
```

Most intense lines, 10° ≤ 2θ ≤ 80°, low angle first:
2θ 20.4, rel. 17; 2θ 27.8, rel. 38; 2θ 29.2, rel. 32; 2θ 29.6, rel. 100; 2θ 39.0, rel. 14; 2θ 40.7, rel. 40; 2θ 49.5, rel. 17; 2θ 50.3, rel. 24; 2θ 52.1, rel. 21; 2θ 67.4, rel. 10


Structure and computed powder XRD pattern of AcSi2IrRu (the GGA-PBE geometry in Alexandria; λ = 1.5418 Å (Cu Kα)).
Kinematic intensities with the Lorentz-polarization factor, no thermal factor.

Cell and atoms:
```
AcSi2IrRu
1.0
-2.1151 2.1151 5.2777
2.1151 -2.1151 5.2777
2.1151 2.1151 -5.2777
Ac Si Ir Ru
1 2 1 1
Direct
0.0000 0.0000 0.0000
0.3603 0.3603 0.0000
0.6397 0.6397 0.0000
0.7500 0.2500 0.5000
0.2500 0.7500 0.5000
```

Most intense lines, 10° ≤ 2θ ≤ 80°, low angle first:
2θ 22.6, rel. 45; 2θ 33.1, rel. 35; 2θ 34.0, rel. 22; 2θ 34.5, rel. 100; 2θ 42.8, rel. 36; 2θ 48.9, rel. 13; 2θ 55.1, rel. 17; 2θ 55.7, rel. 22; 2θ 61.1, rel. 23; 2θ 73.0, rel. 23


Structure and computed powder XRD pattern of Ac9Ir4S2 (the GGA-PBE geometry in Alexandria; λ = 1.5418 Å (Cu Kα)).
Kinematic intensities with the Lorentz-polarization factor, no thermal factor.

Cell and atoms:
```
Ac9Ir4S2
1.0
7.5594 0.0000 0.0000
-3.7797 6.5466 0.0000
0.0000 0.0000 21.0064
Ac Ir S
18 8 4
Direct
0.0000 0.3349 0.2500
0.0000 0.6651 0.7500
0.0115 0.3516 0.5813
0.0115 0.6599 0.0813
0.3349 0.0000 0.2500
0.3349 0.3349 0.7500
0.3401 0.3516 0.0813
0.3401 0.9885 0.5813
0.3516 0.0115 0.9187
0.3516 0.3401 0.4187
0.6484 0.6599 0.5813
0.6484 0.9885 0.0813
0.6599 0.0115 0.4187
0.6599 0.6484 0.9187
0.6651 0.0000 0.7500
0.6651 0.6651 0.2500
0.9885 0.3401 0.9187
0.9885 0.6484 0.4187
0.3333 0.6667 0.1710
0.3333 0.6667 0.4945
0.3333 0.6667 0.6710
0.3333 0.6667 0.9945
0.6667 0.3333 0.0055
0.6667 0.3333 0.3290
0.6667 0.3333 0.5055
0.6667 0.3333 0.8290
0.0000 0.0000 0.1634
0.0000 0.0000 0.3366
0.0000 0.0000 0.6634
0.0000 0.0000 0.8366
```

Most intense lines, 10° ≤ 2θ ≤ 80°, low angle first:
2θ 16.0, rel. 13; 2θ 26.8, rel. 100; 2θ 34.9, rel. 56; 2θ 41.4, rel. 42; 2θ 45.7, rel. 24; 2θ 50.0, rel. 18; 2θ 55.2, rel. 15; 2θ 66.8, rel. 15; 2θ 68.7, rel. 18; 2θ 71.3, rel. 14


Structure and computed powder XRD pattern of Ac5IrS4 (the GGA-PBE geometry in Alexandria; λ = 1.5418 Å (Cu Kα)).
Kinematic intensities with the Lorentz-polarization factor, no thermal factor.

Cell and atoms:
```
Ac5IrS4
1.0
-2.1357 3.0834 11.0377
2.1357 -3.0834 11.0377
2.1357 3.0834 -11.0377
Ac Ir S
5 1 4
Direct
0.0000 0.0000 0.0000
0.2022 0.2022 0.0000
0.4062 0.4062 0.0000
0.5938 0.5938 0.0000
0.7978 0.7978 0.0000
0.5000 0.0000 0.5000
0.1043 0.6043 0.5000
0.2998 0.7998 0.5000
0.7002 0.2002 0.5000
0.8957 0.3957 0.5000
```

Most intense lines, 10° ≤ 2θ ≤ 80°, low angle first:
2θ 24.8, rel. 43; 2θ 25.4, rel. 42; 2θ 29.0, rel. 51; 2θ 29.1, rel. 100; 2θ 40.9, rel. 19; 2θ 41.5, rel. 77; 2θ 42.3, rel. 19; 2θ 50.9, rel. 21; 2θ 52.1, rel. 21; 2θ 68.1, rel. 18


Structure and computed powder XRD pattern of Ac8Ir3S (the GGA-PBE geometry in Alexandria; λ = 1.5418 Å (Cu Kα)).
Kinematic intensities with the Lorentz-polarization factor, no thermal factor.

Cell and atoms:
```
Ac8Ir3S
1.0
7.3391 -4.4082 0.0000
7.3391 4.4082 0.0000
-4.6766 0.0000 7.1619
Ac Ir S
8 3 1
Direct
0.2320 0.7522 0.7472
0.2433 0.2433 0.2563
0.2475 0.2475 0.7322
0.2478 0.7680 0.2528
0.7522 0.2320 0.7472
0.7525 0.7525 0.2678
0.7567 0.7567 0.7437
0.7680 0.2478 0.2528
0.0000 0.0000 0.0000
0.0000 0.5000 0.5000
0.5000 0.0000 0.5000
0.5000 0.5000 0.0000
```

Most intense lines, 10° ≤ 2θ ≤ 80°, low angle first:
2θ 12.9, rel. 24; 2θ 24.9, rel. 35; 2θ 29.1, rel. 100; 2θ 40.9, rel. 40; 2θ 42.3, rel. 36; 2θ 49.1, rel. 11; 2θ 51.0, rel. 21; 2θ 60.3, rel. 12; 2θ 67.4, rel. 12; 2θ 75.5, rel. 13


Structure and computed powder XRD pattern of Ac4IrSeS2 (the GGA-PBE geometry in Alexandria; λ = 1.5418 Å (Cu Kα)).
Kinematic intensities with the Lorentz-polarization factor, no thermal factor.

Cell and atoms:
```
Ac4IrSeS2
1.0
7.6249 0.0000 0.0000
0.0000 4.3145 0.0000
-2.5021 0.0000 7.3318
Ac Ir Se S
4 1 1 2
Direct
0.2373 0.0000 0.2311
0.2542 0.5000 0.7611
0.7458 0.5000 0.2389
0.7627 0.0000 0.7689
0.0000 0.5000 0.0000
0.0000 0.0000 0.5000
0.5000 0.0000 0.0000
0.5000 0.5000 0.5000
```

Most intense lines, 10° ≤ 2θ ≤ 80°, low angle first:
2θ 24.3, rel. 14; 2θ 24.7, rel. 14; 2θ 25.1, rel. 28; 2θ 28.6, rel. 52; 2θ 28.8, rel. 100; 2θ 40.3, rel. 19; 2θ 40.7, rel. 39; 2θ 41.2, rel. 39; 2θ 41.9, rel. 19; 2θ 51.5, rel. 22


Structure and computed powder XRD pattern of Ac2SnSb3Ir4 (the GGA-PBE geometry in Alexandria; λ = 1.5418 Å (Cu Kα)).
Kinematic intensities with the Lorentz-polarization factor, no thermal factor.

Cell and atoms:
```
Ac2SnSb3Ir4
1.0
4.6151 0.0000 0.0000
0.0000 4.6151 0.0000
0.0000 0.0000 10.7649
Ac Sn Sb Ir
2 1 3 4
Direct
0.0000 0.5000 0.2476
0.5000 0.0000 0.7524
0.0000 0.0000 0.5000
0.0000 0.5000 0.8705
0.5000 0.0000 0.1295
0.5000 0.5000 0.5000
0.0000 0.0000 0.0000
0.0000 0.5000 0.6270
0.5000 0.0000 0.3730
0.5000 0.5000 0.0000
```

Most intense lines, 10° ≤ 2θ ≤ 80°, low angle first:
2θ 31.6, rel. 64; 2θ 32.1, rel. 100; 2θ 39.0, rel. 71; 2θ 43.6, rel. 23; 2θ 46.5, rel. 26; 2θ 51.0, rel. 34; 2θ 56.4, rel. 25; 2θ 58.7, rel. 17; 2θ 62.3, rel. 22; 2θ 66.4, rel. 25


Structure and computed powder XRD pattern of Ac2Si2Ir (the GGA-PBE geometry in Alexandria; λ = 1.5418 Å (Cu Kα)).
Kinematic intensities with the Lorentz-polarization factor, no thermal factor.

Cell and atoms:
```
Ac2Si2Ir
1.0
5.8424 -2.1606 0.0000
5.8424 2.1606 0.0000
-5.0038 0.0000 10.0460
Ac Si Ir
4 4 2
Direct
0.1089 0.1089 0.3979
0.2856 0.2856 0.8578
0.7144 0.7144 0.1422
0.8911 0.8911 0.6021
0.0335 0.0335 0.9127
0.4008 0.4008 0.3858
0.5992 0.5992 0.6142
0.9665 0.9665 0.0873
0.4503 0.4503 0.1898
0.5497 0.5497 0.8102
```

Most intense lines, 10° ≤ 2θ ≤ 80°, low angle first:
2θ 22.5, rel. 33; 2θ 24.3, rel. 30; 2θ 30.7, rel. 44; 2θ 30.9, rel. 95; 2θ 31.0, rel. 100; 2θ 39.3, rel. 30; 2θ 39.5, rel. 31; 2θ 41.8, rel. 36; 2θ 45.9, rel. 35; 2θ 58.7, rel. 28


Structure and computed powder XRD pattern of Ac2SiIr2 (the GGA-PBE geometry in Alexandria; λ = 1.5418 Å (Cu Kα)).
Kinematic intensities with the Lorentz-polarization factor, no thermal factor.

Cell and atoms:
```
Ac2SiIr2
1.0
5.0889 -3.0133 0.0000
5.0889 3.0133 0.0000
-1.7407 0.0000 7.6861
Ac Si Ir
4 2 4
Direct
0.0223 0.2812 0.1493
0.2812 0.0223 0.6493
0.7188 0.9777 0.3507
0.9777 0.7188 0.8507
0.4070 0.5930 0.2500
0.5930 0.4070 0.7500
0.2469 0.5076 0.4935
0.4924 0.7531 0.0065
0.5076 0.2469 0.9935
0.7531 0.4924 0.5065
```

Most intense lines, 10° ≤ 2θ ≤ 80°, low angle first:
2θ 26.0, rel. 45; 2θ 30.6, rel. 54; 2θ 31.9, rel. 41; 2θ 35.0, rel. 25; 2θ 35.1, rel. 33; 2θ 35.5, rel. 100; 2θ 36.2, rel. 45; 2θ 37.4, rel. 41; 2θ 38.1, rel. 46; 2θ 62.9, rel. 27


Structure and computed powder XRD pattern of AcSmIr (the GGA-PBE geometry in Alexandria; λ = 1.5418 Å (Cu Kα)).
Kinematic intensities with the Lorentz-polarization factor, no thermal factor.

Cell and atoms:
```
AcSmIr
1.0
5.2002 0.0000 0.0000
0.0000 4.8810 0.0000
-2.0365 0.0000 7.2168
Ac Sm Ir
2 2 2
Direct
0.2138 0.2500 0.4075
0.7862 0.7500 0.5925
0.2780 0.7500 0.0257
0.7220 0.2500 0.9743
0.1276 0.2500 0.7847
0.8724 0.7500 0.2153
```

Most intense lines, 10° ≤ 2θ ≤ 80°, low angle first:
2θ 17.7, rel. 29; 2θ 25.5, rel. 41; 2θ 26.2, rel. 90; 2θ 30.5, rel. 100; 2θ 30.8, rel. 68; 2θ 36.8, rel. 78; 2θ 37.8, rel. 28; 2θ 40.5, rel. 35; 2θ 41.3, rel. 37; 2θ 42.2, rel. 27


Structure and computed powder XRD pattern of AcSmIr (the GGA-PBE geometry in Alexandria; λ = 1.5418 Å (Cu Kα)).
Kinematic intensities with the Lorentz-polarization factor, no thermal factor.

Cell and atoms:
```
AcSmIr
1.0
6.7561 0.0000 0.0000
0.0000 4.3378 0.0000
-2.6039 0.0000 6.9928
Ac Sm Ir
2 2 2
Direct
0.2468 0.0000 0.2561
0.7532 0.0000 0.7439
0.2855 0.4989 0.7643
0.7145 0.4989 0.2357
0.5000 0.4996 0.5000
0.5000 0.9987 0.0000
```

Most intense lines, 10° ≤ 2θ ≤ 80°, low angle first:
2θ 14.0, rel. 48; 2θ 24.1, rel. 16; 2θ 25.6, rel. 16; 2θ 30.2, rel. 100; 2θ 30.8, rel. 48; 2θ 41.6, rel. 25; 2θ 41.9, rel. 43; 2θ 45.4, rel. 31; 2θ 52.7, rel. 22; 2θ 69.0, rel. 19


Structure and computed powder XRD pattern of Ac2Sn3Ir (the GGA-PBE geometry in Alexandria; λ = 1.5418 Å (Cu Kα)).
Kinematic intensities with the Lorentz-polarization factor, no thermal factor.

Cell and atoms:
```
Ac2Sn3Ir
1.0
4.5740 0.0000 0.0000
0.0000 4.8413 0.0000
0.0000 0.0000 8.1352
Ac Sn Ir
2 3 1
Direct
0.0000 0.0000 0.0000
0.0000 0.5000 0.4560
0.5000 0.0000 0.6053
0.5000 0.5000 0.1507
0.5000 0.5000 0.7988
0.5000 0.0000 0.2792
```

Most intense lines, 10° ≤ 2θ ≤ 80°, low angle first:
2θ 10.9, rel. 12; 2θ 29.0, rel. 100; 2θ 29.4, rel. 52; 2θ 37.1, rel. 27; 2θ 38.0, rel. 42; 2θ 39.4, rel. 23; 2θ 48.0, rel. 28; 2θ 55.3, rel. 17; 2θ 55.9, rel. 28; 2θ 62.0, rel. 12


Structure and computed powder XRD pattern of Ac3Sn2Ir2 (the GGA-PBE geometry in Alexandria; λ = 1.5418 Å (Cu Kα)).
Kinematic intensities with the Lorentz-polarization factor, no thermal factor.

Cell and atoms:
```
Ac3Sn2Ir2
1.0
-2.2968 2.3731 9.6801
2.2968 -2.3731 9.6801
2.2968 2.3731 -9.6801
Ac Sn Ir
3 2 2
Direct
0.0000 0.0000 0.0000
0.3263 0.8263 0.5000
0.6737 0.1737 0.5000
0.1397 0.6397 0.5000
0.8603 0.3603 0.5000
0.4344 0.4344 0.0000
0.5656 0.5656 0.0000
```

Most intense lines, 10° ≤ 2θ ≤ 80°, low angle first:
2θ 28.6, rel. 100; 2θ 30.2, rel. 43; 2θ 32.8, rel. 38; 2θ 37.6, rel. 22; 2θ 37.9, rel. 40; 2θ 39.0, rel. 30; 2θ 39.2, rel. 30; 2θ 46.3, rel. 20; 2θ 49.2, rel. 23; 2θ 55.7, rel. 23